Simulated powder X-ray diffraction pattern
Compound: Na3SbBr6
Radiation: λ = 1.5418 Å (Cu Kα)
Structure: the PBE geometry in the Materials Project

Crystal structure
```
10
Lattice="0.0000 5.6585 5.6585 5.6585 0.0000 5.6585 5.6585 5.6585 0.0000" Properties=species:S:1:pos:R:3 pbc="T T T"
Na 0.0000 0.0000 0.0000
Na 2.8292 2.8292 2.8292
Na 8.4877 8.4877 8.4877
Sb 5.6585 5.6585 5.6585
Br 5.6585 5.6585 2.8638
Br 5.6585 2.8638 5.6585
Br 8.4531 5.6585 5.6585
Br 2.8638 5.6585 5.6585
Br 5.6585 8.4531 5.6585
Br 5.6585 5.6585 8.4531
```

Top 10 peaks for 10 to 90 degrees two-theta, sorted by position:
d [Å], 2θ/deg, I_rel
6.534, 13.55, 24
5.658, 15.66, 81
3.267, 27.30, 66
2.829, 31.62, 100
2.531, 35.47, 42
2.001, 45.33, 72
1.706, 53.73, 28
1.633, 56.32, 25
1.265, 75.08, 31
1.155, 83.74, 23